# 1
Al2Cu2Au7: theoretical powder XRD pattern (Cu Kα X-rays), based on DFT lattice parameters and positions (PBE).

The 12 most intense peaks (10 to 90 degrees two-theta), by intensity:
- (4 2 -1), 2θ 40.21, intensity 100.0
- (1 3 -1), 2θ 37.02, intensity 29.6
- (3 1 0), 2θ 28.97, intensity 24.8
- (2 0 -2), 2θ 42.61, intensity 24.3
- (0 4 0), 2θ 40.63, intensity 20.4
- (1 1 -1), 2θ 23.23, intensity 12.9
- (2 4 -2), 2θ 60.33, intensity 12.8
- (0 2 1), 2θ 30.51, intensity 12.0
- (3 5 0), 2θ 59.11, intensity 11.2
- (6 0 0), 2θ 55.96, intensity 9.1
- (4 6 -1), 2θ 73.64, intensity 8.9
- (0 2 3), 2θ 76.28, intensity 8.0

```
data_Al2Cu2Au7
_chemical_formula_sum 'Al4 Cu4 Au14'
_cell_length_a 10.7225
_cell_length_b 8.8827
_cell_length_c 4.2436
_cell_angle_alpha 90.00
_cell_angle_beta 113.14
_cell_angle_gamma 90.00
_space_group_name_H-M_alt 'C 1 2/m 1'
_space_group_IT_number 12
_space_group_name_Hall '-C 2y'
loop_
_atom_site_label
_atom_site_type_symbol
_atom_site_fract_x
_atom_site_fract_y
_atom_site_fract_z
Al1 Al 0.1749 0.0000 0.1737
Cu1 Cu 0.0000 0.2206 0.0000
Au1 Au 0.0000 0.0000 0.5000
Au2 Au 0.1473 0.5000 0.1466
Au3 Au 0.1546 0.2781 0.6544
```

# 2
AlGa2Cu7Au2: theoretical powder XRD pattern (Cu Kα X-rays), based on DFT lattice parameters and positions (PBE).

The 12 most intense peaks (10 to 90 degrees two-theta), by intensity:
- (2 2 -1), 2θ 51.63, intensity 100.0
- (1 1 0), 2θ 25.35, intensity 81.5
- (0 2 0), 2θ 35.87, intensity 65.5
- (1 1 5), 2θ 43.41, intensity 61.2
- (0 0 2), 2θ 12.57, intensity 60.7
- (1 1 -6), 2θ 43.84, intensity 57.9
- (0 2 4), 2θ 44.39, intensity 55.3
- (0 2 3), 2θ 40.84, intensity 53.2
- (0 2 1), 2θ 36.42, intensity 50.6
- (1 1 -4), 2θ 33.89, intensity 41.3
- (1 1 3), 2θ 33.55, intensity 34.5
- (2 0 3), 2θ 44.10, intensity 33.5

```
data_AlGa2Cu7Au2
_chemical_formula_sum 'Al2 Ga4 Cu14 Au4'
_cell_length_a 5.0068
_cell_length_b 5.0086
_cell_length_c 14.2692
_cell_angle_alpha 90.00
_cell_angle_beta 99.30
_cell_angle_gamma 90.00
_space_group_name_H-M_alt 'C 1 2/m 1'
_space_group_IT_number 12
_space_group_name_Hall '-C 2y'
loop_
_atom_site_label
_atom_site_type_symbol
_atom_site_fract_x
_atom_site_fract_y
_atom_site_fract_z
Al1 Al 0.0000 0.0000 0.0000
Ga1 Ga 0.1670 0.0000 0.3618
Cu1 Cu 0.0000 0.5000 0.0000
Cu2 Cu 0.1891 0.2499 0.8658
Cu3 Cu 0.2338 0.5000 0.4647
Au1 Au 0.1253 0.5000 0.2776
```

# 3
Al2Ga2Cu7Au: theoretical powder XRD pattern (Cu Kα X-rays), based on DFT lattice parameters and positions (PBE).

The 12 most intense peaks (10 to 90 degrees two-theta), by intensity:
- (0 2 3), 2θ 39.66, intensity 100.0
- (2 0 -3), 2θ 41.17, intensity 96.5
- (2 0 3), 2θ 41.55, intensity 94.2
- (2 2 0), 2θ 46.59, intensity 65.9
- (0 2 4), 2θ 45.17, intensity 63.6
- (0 2 2), 2θ 35.29, intensity 60.0
- (1 1 0), 2θ 22.81, intensity 54.9
- (0 0 6), 2θ 48.20, intensity 54.1
- (2 2 -1), 2θ 47.26, intensity 38.8
- (2 2 1), 2θ 47.37, intensity 37.7
- (0 2 0), 2θ 31.43, intensity 29.3
- (2 4 -3), 2θ 80.46, intensity 25.0

```
data_Al2Ga2Cu7Au
_chemical_formula_sum 'Al4 Ga4 Cu14 Au2'
_cell_length_a 5.3513
_cell_length_b 5.6921
_cell_length_c 11.3290
_cell_angle_alpha 90.00
_cell_angle_beta 90.53
_cell_angle_gamma 90.00
_space_group_name_H-M_alt 'C 1 2/m 1'
_space_group_IT_number 12
_space_group_name_Hall '-C 2y'
loop_
_atom_site_label
_atom_site_type_symbol
_atom_site_fract_x
_atom_site_fract_y
_atom_site_fract_z
Al1 Al 0.9997 0.0000 0.1889
Ga1 Ga 0.9999 0.5000 0.1867
Cu1 Cu 0.0000 0.0000 0.5000
Cu2 Cu 0.2459 0.0000 0.0002
Cu3 Cu 0.2492 0.2503 0.3379
Au1 Au 0.0000 0.5000 0.5000
```

# 4
Al2Cu7Ge2Au: theoretical powder XRD pattern (Cu Kα X-rays), based on DFT lattice parameters and positions (PBE).

The 12 most intense peaks (10 to 90 degrees two-theta), by intensity:
- (0 2 3), 2θ 39.91, intensity 100.0
- (2 0 -3), 2θ 41.06, intensity 98.5
- (2 0 3), 2θ 41.24, intensity 97.0
- (2 2 1), 2θ 47.74, intensity 72.0
- (2 2 0), 2θ 47.04, intensity 64.4
- (0 2 2), 2θ 35.72, intensity 59.4
- (0 0 6), 2θ 47.38, intensity 59.1
- (0 2 4), 2θ 45.23, intensity 58.7
- (1 1 0), 2θ 23.02, intensity 55.6
- (2 4 -3), 2θ 81.65, intensity 30.1
- (0 2 0), 2θ 32.03, intensity 28.3
- (1 1 3), 2θ 32.96, intensity 28.1

```
data_Al2Cu7Ge2Au
_chemical_formula_sum 'Al4 Cu14 Ge4 Au2'
_cell_length_a 5.3464
_cell_length_b 5.5891
_cell_length_c 11.5134
_cell_angle_alpha 90.00
_cell_angle_beta 90.26
_cell_angle_gamma 90.00
_space_group_name_H-M_alt 'C 1 2/m 1'
_space_group_IT_number 12
_space_group_name_Hall '-C 2y'
loop_
_atom_site_label
_atom_site_type_symbol
_atom_site_fract_x
_atom_site_fract_y
_atom_site_fract_z
Al1 Al 0.0004 0.0000 0.1859
Cu1 Cu 0.0000 0.0000 0.5000
Cu2 Cu 0.2463 0.0000 0.9999
Cu3 Cu 0.2494 0.2501 0.6633
Ge1 Ge 0.0002 0.5000 0.1845
Au1 Au 0.0000 0.5000 0.5000
```

# 5
La5Al15Cu4Au: theoretical powder XRD pattern (Cu Kα X-rays), based on DFT lattice parameters and positions (PBE).

The 12 most intense peaks (10 to 90 degrees two-theta), by intensity:
- (1 0 15), 2θ 32.46, intensity 100.0
- (1 1 10), 2θ 33.76, intensity 76.3
- (1 1 0), 2θ 29.26, intensity 56.6
- (2 0 0), 2θ 41.85, intensity 49.8
- (2 1 15), 2θ 53.94, intensity 46.6
- (1 0 25), 2θ 47.20, intensity 36.7
- (1 0 5), 2θ 22.19, intensity 30.3
- (0 0 10), 2θ 16.48, intensity 28.2
- (2 1 25), 2θ 64.89, intensity 27.3
- (3 1 10), 2θ 71.27, intensity 17.0
- (2 2 0), 2θ 60.68, intensity 16.4
- (1 1 30), 2θ 59.83, intensity 15.1

```
data_La5Al15Cu4Au
_chemical_formula_sum 'La10 Al30 Cu8 Au2'
_cell_length_a 4.3169
_cell_length_b 4.3169
_cell_length_c 53.7853
_cell_angle_alpha 90.00
_cell_angle_beta 90.00
_cell_angle_gamma 90.00
_space_group_name_H-M_alt 'I 4 m m'
_space_group_IT_number 107
_space_group_name_Hall 'I 4 -2'
loop_
_atom_site_label
_atom_site_type_symbol
_atom_site_fract_x
_atom_site_fract_y
_atom_site_fract_z
La1 La 0.0000 0.0000 0.0000
La2 La 0.0000 0.0000 0.1982
La3 La 0.0000 0.0000 0.3969
La4 La 0.0000 0.0000 0.5990
La5 La 0.0000 0.0000 0.7973
Al1 Al 0.0000 0.0000 0.0808
Al2 Al 0.0000 0.0000 0.2790
Al3 Al 0.0000 0.0000 0.4818
Al4 Al 0.0000 0.0000 0.6798
Al5 Al 0.0000 0.0000 0.8778
Al6 Al 0.0000 0.5000 0.0497
Al7 Al 0.0000 0.5000 0.1488
Al8 Al 0.0000 0.5000 0.2479
Al9 Al 0.0000 0.5000 0.3471
Al10 Al 0.0000 0.5000 0.4509
Cu1 Cu 0.0000 0.0000 0.1259
Cu2 Cu 0.0000 0.0000 0.3242
Cu3 Cu 0.0000 0.0000 0.5268
Cu4 Cu 0.0000 0.0000 0.7250
Au1 Au 0.0000 0.0000 0.9248
```

# 6
La5Al15Cu2Au3: theoretical powder XRD pattern (Cu Kα X-rays), based on DFT lattice parameters and positions (PBE).

The 12 most intense peaks (10 to 90 degrees two-theta), by intensity:
- (1 0 15), 2θ 32.16, intensity 100.0
- (1 1 10), 2θ 33.47, intensity 60.6
- (1 1 0), 2θ 29.02, intensity 59.9
- (2 1 15), 2θ 53.45, intensity 47.6
- (2 0 0), 2θ 41.50, intensity 46.2
- (1 0 5), 2θ 22.00, intensity 33.7
- (1 0 25), 2θ 46.73, intensity 33.0
- (0 0 10), 2θ 16.32, intensity 31.1
- (2 1 25), 2θ 64.26, intensity 26.4
- (2 2 0), 2θ 60.14, intensity 15.7
- (1 1 30), 2θ 59.21, intensity 14.1
- (3 1 10), 2θ 70.61, intensity 13.7

```
data_La5Al15Cu2Au3
_chemical_formula_sum 'La10 Al30 Cu4 Au6'
_cell_length_a 4.3517
_cell_length_b 4.3517
_cell_length_c 54.3222
_cell_angle_alpha 90.00
_cell_angle_beta 90.00
_cell_angle_gamma 90.00
_space_group_name_H-M_alt 'I 4 m m'
_space_group_IT_number 107
_space_group_name_Hall 'I 4 -2'
loop_
_atom_site_label
_atom_site_type_symbol
_atom_site_fract_x
_atom_site_fract_y
_atom_site_fract_z
La1 La 0.0000 0.0000 0.0000
La2 La 0.0000 0.0000 0.1955
La3 La 0.0000 0.0000 0.3988
La4 La 0.0000 0.0000 0.5975
La5 La 0.0000 0.0000 0.7972
Al1 Al 0.0000 0.0000 0.0797
Al2 Al 0.0000 0.0000 0.2786
Al3 Al 0.0000 0.0000 0.4823
Al4 Al 0.0000 0.0000 0.6768
Al5 Al 0.0000 0.0000 0.8802
Al6 Al 0.0000 0.5000 0.0490
Al7 Al 0.0000 0.5000 0.1466
Al8 Al 0.0000 0.5000 0.2486
Al9 Al 0.0000 0.5000 0.3503
Al10 Al 0.0000 0.5000 0.4518
Cu1 Cu 0.0000 0.0000 0.1245
Cu2 Cu 0.0000 0.0000 0.5269
Au1 Au 0.0000 0.0000 0.3250
Au2 Au 0.0000 0.0000 0.7233
Au3 Au 0.0000 0.0000 0.9266
```

# 7
Al2CuPbAu4: theoretical powder XRD pattern (Cu Kα X-rays), based on DFT lattice parameters and positions (PBE).

The 12 most intense peaks (10 to 90 degrees two-theta), by intensity:
- (1 1 0), 2θ 41.33, intensity 100.0
- (0 1 8), 2θ 34.97, intensity 75.9
- (1 0 7), 2θ 32.61, intensity 53.4
- (1 0 4), 2θ 26.80, intensity 35.0
- (1 1 15), 2θ 65.91, intensity 31.4
- (0 1 2), 2θ 24.37, intensity 30.4
- (0 1 11), 2θ 42.89, intensity 28.8
- (0 1 5), 2θ 28.49, intensity 25.7
- (2 0 8), 2θ 55.22, intensity 20.7
- (1 2 8), 2θ 71.25, intensity 19.5
- (1 0 10), 2θ 40.13, intensity 19.2
- (3 0 0), 2θ 75.35, intensity 17.5

```
data_Al2CuPbAu4
_chemical_formula_sum 'Al6 Cu3 Pb3 Au12'
_cell_length_a 4.3694
_cell_length_b 4.3694
_cell_length_c 27.9321
_cell_angle_alpha 90.00
_cell_angle_beta 90.00
_cell_angle_gamma 120.00
_space_group_name_H-M_alt 'R -3 m'
_space_group_IT_number 166
_space_group_name_Hall '-R 3 2"'
loop_
_atom_site_label
_atom_site_type_symbol
_atom_site_fract_x
_atom_site_fract_y
_atom_site_fract_z
Al1 Al 0.0000 0.0000 0.2330
Cu1 Cu 0.0000 0.0000 0.5000
Pb1 Pb 0.0000 0.0000 0.0000
Au1 Au 0.0000 0.0000 0.1322
Au2 Au 0.0000 0.0000 0.4013
```

# 8
PmAlCuAu6: theoretical powder XRD pattern (Cu Kα X-rays), based on DFT lattice parameters and positions (PBE).

The 12 most intense peaks (10 to 90 degrees two-theta), by intensity:
- (2 2 0), 2θ 31.30, intensity 100.0
- (0 2 4), 2θ 38.62, intensity 46.8
- (0 4 0), 2θ 39.96, intensity 44.5
- (1 2 3), 2θ 33.94, intensity 34.7
- (2 1 3), 2θ 36.09, intensity 26.9
- (2 0 4), 2θ 41.19, intensity 22.9
- (2 2 4), 2θ 46.04, intensity 20.2
- (3 2 1), 2θ 42.66, intensity 19.3
- (3 0 3), 2θ 44.46, intensity 18.2
- (3 2 7), 2θ 75.27, intensity 17.4
- (2 6 0), 2θ 67.22, intensity 17.0
- (2 4 4), 2θ 58.74, intensity 15.8

```
data_PmAlCuAu6
_chemical_formula_sum 'Pm4 Al4 Cu4 Au24'
_cell_length_a 7.3857
_cell_length_b 9.0238
_cell_length_c 10.8914
_cell_angle_alpha 90.00
_cell_angle_beta 90.00
_cell_angle_gamma 90.00
_space_group_name_H-M_alt 'I m m a'
_space_group_IT_number 74
_space_group_name_Hall '-I 2b 2'
loop_
_atom_site_label
_atom_site_type_symbol
_atom_site_fract_x
_atom_site_fract_y
_atom_site_fract_z
Pm1 Pm 0.0000 0.2500 0.2172
Al1 Al 0.0000 0.0000 0.0000
Cu1 Cu 0.2500 0.2500 0.7500
Au1 Au 0.0000 0.2500 0.5195
Au2 Au 0.0000 0.2500 0.9105
Au3 Au 0.1999 0.0082 0.3722
```

# 9
Pu2Al3CuAu12: theoretical powder XRD pattern (Cu Kα X-rays), based on DFT lattice parameters and positions (PBE).

The 12 most intense peaks (10 to 90 degrees two-theta), by intensity:
- (0 2 4), 2θ 37.61, intensity 100.0
- (2 0 8), 2θ 40.94, intensity 71.5
- (2 2 0), 2θ 65.59, intensity 27.7
- (1 0 10), 2θ 29.01, intensity 26.5
- (2 0 26), 2θ 73.31, intensity 23.7
- (0 0 12), 2θ 27.15, intensity 22.2
- (0 1 14), 2θ 36.76, intensity 20.0
- (1 1 6), 2θ 34.33, intensity 19.9
- (0 0 18), 2θ 41.24, intensity 18.5
- (0 2 22), 2θ 64.28, intensity 17.4
- (2 2 18), 2θ 80.48, intensity 16.3
- (2 0 14), 2θ 49.12, intensity 14.4

```
data_Pu2Al3CuAu12
_chemical_formula_sum 'Pu6 Al9 Cu3 Au36'
_cell_length_a 5.6935
_cell_length_b 5.6935
_cell_length_c 39.4069
_cell_angle_alpha 90.00
_cell_angle_beta 90.00
_cell_angle_gamma 120.00
_space_group_name_H-M_alt 'R -3 m'
_space_group_IT_number 166
_space_group_name_Hall '-R 3 2"'
loop_
_atom_site_label
_atom_site_type_symbol
_atom_site_fract_x
_atom_site_fract_y
_atom_site_fract_z
Pu1 Pu 0.0000 0.0000 0.1488
Al1 Al 0.0000 0.5000 0.0000
Cu1 Cu 0.0000 0.0000 0.5000
Au1 Au 0.0007 0.5004 0.8862
Au2 Au 0.0079 0.5040 0.6147
```

# 10
Sm2Al3Cu12Au: theoretical powder XRD pattern (Cu Kα X-rays), based on DFT lattice parameters and positions (PBE).

The 12 most intense peaks (10 to 90 degrees two-theta), by intensity:
- (1 1 3), 2θ 31.35, intensity 100.0
- (1 1 6), 2θ 35.21, intensity 91.3
- (2 0 8), 2θ 42.80, intensity 75.9
- (0 1 11), 2θ 37.92, intensity 72.0
- (0 2 4), 2θ 36.89, intensity 58.5
- (2 2 0), 2θ 62.25, intensity 38.2
- (0 3 3), 2θ 54.07, intensity 35.4
- (1 2 14), 2θ 65.27, intensity 33.4
- (3 0 6), 2θ 56.66, intensity 22.9
- (1 1 9), 2θ 40.99, intensity 21.4
- (0 1 14), 2θ 46.72, intensity 21.2
- (2 0 2), 2θ 35.28, intensity 20.2

```
data_Sm2Al3Cu12Au
_chemical_formula_sum 'Sm6 Al9 Cu36 Au3'
_cell_length_a 5.9655
_cell_length_b 5.9655
_cell_length_c 29.3784
_cell_angle_alpha 90.00
_cell_angle_beta 90.00
_cell_angle_gamma 120.00
_space_group_name_H-M_alt 'R -3 m'
_space_group_IT_number 166
_space_group_name_Hall '-R 3 2"'
loop_
_atom_site_label
_atom_site_type_symbol
_atom_site_fract_x
_atom_site_fract_y
_atom_site_fract_z
Sm1 Sm 0.0000 0.0000 0.1427
Al1 Al 0.0000 0.5000 0.0000
Cu1 Cu 0.0196 0.5098 0.8983
Cu2 Cu 0.0674 0.5337 0.6181
Au1 Au 0.0000 0.0000 0.5000
```

# 11
AlCuTe4Au2: theoretical powder XRD pattern (Cu Kα X-rays), based on DFT lattice parameters and positions (PBE).

The 12 most intense peaks (10 to 90 degrees two-theta), by intensity:
- (2 0 2), 2θ 24.98, intensity 100.0
- (2 2 4), 2θ 40.99, intensity 53.3
- (4 2 2), 2θ 49.58, intensity 30.9
- (4 0 0), 2θ 42.10, intensity 25.0
- (0 2 6), 2θ 47.61, intensity 16.9
- (6 2 4), 2θ 76.18, intensity 16.9
- (2 0 0), 2θ 20.69, intensity 13.7
- (4 2 6), 2θ 65.41, intensity 12.9
- (2 2 2), 2θ 32.65, intensity 12.4
- (0 0 2), 2θ 13.84, intensity 11.6
- (4 0 8), 2θ 73.90, intensity 8.8
- (2 0 4), 2θ 34.98, intensity 8.6

```
data_AlCuTe4Au2
_chemical_formula_sum 'Al4 Cu4 Te16 Au8'
_cell_length_a 8.5852
_cell_length_b 8.5859
_cell_length_c 12.7956
_cell_angle_alpha 90.00
_cell_angle_beta 90.00
_cell_angle_gamma 90.00
_space_group_name_H-M_alt 'F m m 2'
_space_group_IT_number 42
_space_group_name_Hall 'F 2 -2'
loop_
_atom_site_label
_atom_site_type_symbol
_atom_site_fract_x
_atom_site_fract_y
_atom_site_fract_z
Al1 Al 0.0000 0.0000 0.0000
Cu1 Cu 0.0000 0.0000 0.5005
Te1 Te 0.0000 0.2434 0.6177
Te2 Te 0.2430 0.0000 0.3827
Au1 Au 0.2500 0.2500 0.2502
```

# 12
ThAlCuAu6: theoretical powder XRD pattern (Cu Kα X-rays), based on DFT lattice parameters and positions (PBE).

The 12 most intense peaks (10 to 90 degrees two-theta), by intensity:
- (2 2 0), 2θ 31.37, intensity 100.0
- (0 2 4), 2θ 38.32, intensity 45.1
- (1 2 3), 2θ 33.82, intensity 41.1
- (0 4 0), 2θ 40.96, intensity 40.4
- (2 1 3), 2θ 35.61, intensity 29.0
- (2 0 4), 2θ 40.47, intensity 23.2
- (3 0 3), 2θ 43.78, intensity 20.4
- (5 2 3), 2θ 71.27, intensity 16.7
- (2 4 4), 2θ 58.93, intensity 16.2
- (2 2 4), 2θ 45.61, intensity 16.1
- (3 4 3), 2θ 61.49, intensity 14.5
- (3 2 1), 2θ 42.44, intensity 14.0

```
data_ThAlCuAu6
_chemical_formula_sum 'Th4 Al4 Cu4 Au24'
_cell_length_a 7.4805
_cell_length_b 8.8145
_cell_length_c 11.1035
_cell_angle_alpha 90.00
_cell_angle_beta 90.00
_cell_angle_gamma 90.00
_space_group_name_H-M_alt 'I m m a'
_space_group_IT_number 74
_space_group_name_Hall '-I 2b 2'
loop_
_atom_site_label
_atom_site_type_symbol
_atom_site_fract_x
_atom_site_fract_y
_atom_site_fract_z
Th1 Th 0.0000 0.2500 0.2157
Al1 Al 0.0000 0.0000 0.0000
Cu1 Cu 0.2500 0.2500 0.7500
Au1 Au 0.0000 0.2500 0.5141
Au2 Au 0.0000 0.2500 0.9042
Au3 Au 0.1998 0.0101 0.3729
```